(1)
Starting from a GGA+U-relaxed structure, the powder diffraction line list of MnP2O7 was calculated for copper Kα.
Lines closer than 0.1° are merged.

Main lines, most intense first (2θ from 5° to 70°):
2θ 22.2, I = 100, hkl 1 0 1; 2θ 14.2, I = 86, hkl 0 0 2; 2θ 25.5, I = 77, hkl 1 0 2; 2θ 35.8, I = 38, hkl 1 0 4; 2θ 36.8, I = 25, hkl 1 1 0; 2θ 43.0, I = 21, hkl 1 1 3; 2θ 30.2, I = 19, hkl 1 0 3; 2θ 66.3, I = 17, hkl 3 0 0; 2θ 52.3, I = 17, hkl 2 0 4; 2θ 65.6, I = 13, hkl 2 1 4; 2θ 59.7, I = 12, hkl 1 2 2; 2θ 45.3, I = 11, hkl 2 0 2

Atomic structure:
a = 4.8866 Å, b = 4.8866 Å, c = 12.4328 Å
α = 90.00°, β = 90.00°, γ = 120.00°
Sites, in units of the cell vectors:
Mn: 0.0000 0.0000 0.0000
Mn: 0.0000 0.0000 0.5000
P: 0.3333 0.6667 0.1228
P: 0.3333 0.6667 0.3772
P: 0.6667 0.3333 0.6228
P: 0.6667 0.3333 0.8772
O: 0.0570 0.3429 0.0907
O: 0.0570 0.3429 0.4093
O: 0.2859 0.9430 0.0907
O: 0.2859 0.9430 0.4093
O: 0.3333 0.6667 0.2500
O: 0.3429 0.2859 0.5907
O: 0.3429 0.2859 0.9093
O: 0.6571 0.7141 0.0907
O: 0.6571 0.7141 0.4093
O: 0.6667 0.3333 0.7500
O: 0.7141 0.0570 0.5907
O: 0.7141 0.0570 0.9093
O: 0.9430 0.6571 0.5907
O: 0.9430 0.6571 0.9093

=====

(2)
Starting from a GGA+U-relaxed structure, the powder diffraction line list of LiMn2F6 was calculated for copper Kα.
Lines closer than 0.1° are merged.

Main lines, most intense first (2θ from 5° to 70°):
2θ 27.7, I = 100, hkl 1 1 1; 2θ 53.1, I = 42, hkl 0 3 2; 2θ 40.2, I = 35, hkl 3 0 1; 2θ 20.0, I = 34, hkl 1 1 0; 2θ 45.3, I = 21, hkl 2 2 1; 2θ 58.5, I = 16, hkl 1 4 1; 2θ 62.9, I = 16, hkl 3 3 0; 2θ 35.0, I = 8, hkl 3 0 0; 2θ 63.3, I = 8, hkl 1 1 3; 2θ 43.8, I = 7, hkl 1 1 2; 2θ 40.7, I = 4, hkl 2 2 0; 2θ 64.2, I = 4, hkl 4 2 0

Atomic structure:
a = 8.8689 Å, b = 8.8689 Å, c = 4.6746 Å
α = 90.00°, β = 90.00°, γ = 120.00°
Sites, in units of the cell vectors:
Li: 0.0000 0.0000 0.0000
Li: 0.3333 0.6667 0.4757
Li: 0.6667 0.3333 0.5243
Mn: 0.0000 0.3125 0.5000
Mn: 0.0000 0.6434 0.0000
Mn: 0.3125 0.0000 0.5000
Mn: 0.3566 0.3566 0.0000
Mn: 0.6434 0.0000 0.0000
Mn: 0.6875 0.6875 0.5000
F: 0.1053 0.5232 0.7277
F: 0.1088 0.2225 0.7529
F: 0.1137 0.8912 0.7529
F: 0.2117 0.7678 0.2651
F: 0.2225 0.1088 0.2471
F: 0.2322 0.4439 0.2651
F: 0.4179 0.8947 0.7277
F: 0.4439 0.2322 0.7349
F: 0.4768 0.5821 0.7277
F: 0.5232 0.1053 0.2723
F: 0.5561 0.7883 0.2651
F: 0.5821 0.4768 0.2723
F: 0.7678 0.2117 0.7349
F: 0.7775 0.8863 0.7529
F: 0.7883 0.5561 0.7349
F: 0.8863 0.7775 0.2471
F: 0.8912 0.1137 0.2471
F: 0.8947 0.4179 0.2723